Computed powder X-ray diffraction pattern
Compound: DyAsN2O
Radiation: a wavelength of 1.5418 Å
Structure: a crystal structure in OQMD, relaxed with GGA-PBE
Intensities are scaled so that the largest is 100.

Top 12 peaks for 2θ from 10° to 90°, low angle first:
- 22.7 deg, I 19
- 31.8 deg, I 27
- 32.8 deg, I 100
- 33.4 deg, I 31
- 33.6 deg, I 33
- 33.7 deg, I 14
- 40.7 deg, I 11
- 46.2 deg, I 15
- 48.8 deg, I 14
- 59.2 deg, I 10
- 62.5 deg, I 10
- 68.8 deg, I 11

```
data_DyAsN2O
_cell_length_a 5.460
_cell_length_b 5.467
_cell_length_c 9.215
_cell_angle_alpha 103.55
_cell_angle_beta 90.35
_cell_angle_gamma 119.82
_symmetry_space_group_name_H-M 'P 1'
_symmetry_Int_Tables_number 1
_symmetry_space_group_name_Hall 'P 1'
loop_
_atom_site_label
_atom_site_type_symbol
_atom_site_fract_x
_atom_site_fract_y
_atom_site_fract_z
Dy1 Dy 0.000 0.000 0.000
Dy2 Dy 0.096 0.328 0.692
Dy3 Dy 0.443 0.881 0.419
Dy4 Dy 0.716 0.436 0.198
As1 As 0.078 0.142 0.343
As2 As 0.380 0.717 0.068
As3 As 0.459 0.032 0.781
As4 As 0.746 0.625 0.588
N1 N 0.072 0.887 0.745
N2 N 0.147 0.857 0.198
N3 N 0.463 0.039 0.981
N4 N 0.479 0.329 0.414
N5 N 0.504 0.737 0.676
N6 N 0.642 0.272 0.661
N7 N 0.740 0.031 0.215
N8 N 0.892 0.916 0.472
O1 O 0.042 0.462 0.453
O2 O 0.048 0.422 0.942
O3 O 0.308 0.464 0.192
O4 O 0.587 0.578 0.965
```